Structure and theoretical X-ray diffraction stick pattern of Li3V3O3F5 (a crystal structure in Alexandria, relaxed with GGA+U; Cu Kα, 1.54184 Å).
Peak positions follow from Bragg's law for the DFT cell and can differ from measured ones.

Crystal structure
```
Li3V3O3F5
1.0
5.253 -3.006 0.000
5.253 3.006 0.000
-3.290 0.000 5.080
Li V O F
3 3 3 5
direct
0.000 0.000 0.000
0.270 0.270 0.746
0.620 0.620 0.342
0.143 0.621 0.350
0.621 0.143 0.350
0.631 0.631 0.860
0.390 0.390 0.141
0.395 0.395 0.591
0.867 0.867 0.136
0.378 0.864 0.593
0.398 0.887 0.128
0.864 0.378 0.593
0.873 0.873 0.586
0.887 0.398 0.128
```

Most intense lines, 2θ from 5° to 70°, in order of rising 2θ:
2theta, intensity
17.5, 22
17.9, 29
18.1, 100
33.4, 17
34.7, 35
40.9, 39
42.4, 69
56.3, 15
59.5, 24
61.3, 31